# 1
Structure and theoretical powder X-ray diffraction pattern of NpCd2InO6 (the GGA-PBE geometry in Alexandria; Cu Kα (weighted mean of Kα1 and Kα2)).
Kinematic intensities with the Lorentz-polarization factor, no thermal factor.

Principal peaks in the range 2θ from 15° to 90°, by angle:
2θ/deg	I/Imax
30.69	69.7
30.86	100.0
31.47	32.4
43.52	17.1
44.65	28.4
54.88	20.3
55.44	15.9
55.76	15.8

Atomic structure:
```
NpCd2InO6
1.0
5.686 0.000 0.000
0.000 5.798 0.000
-5.623 0.000 8.318
Np Cd In O
2 4 2 12
direct
0.000 0.000 0.000
0.000 0.500 0.500
0.248 0.042 0.749
0.248 0.458 0.249
0.752 0.542 0.751
0.752 0.958 0.251
0.500 0.000 0.500
0.500 0.500 0.000
0.114 0.190 0.438
0.114 0.310 0.938
0.251 0.682 0.438
0.251 0.818 0.938
0.366 0.070 0.251
0.366 0.430 0.751
0.634 0.570 0.249
0.634 0.930 0.749
0.749 0.182 0.062
0.749 0.318 0.562
0.886 0.690 0.062
0.886 0.810 0.562
```

=====

# 2
Structure and theoretical powder X-ray diffraction pattern of Cd2In2O5 (the GGA-PBE geometry in Alexandria; Cu Kα (weighted mean of Kα1 and Kα2)).
Kinematic intensities with the Lorentz-polarization factor, no thermal factor.

Principal peaks in the range 2θ from 15° to 90°, by angle:
2θ/deg	I/Imax
28.88	80.9
29.12	43.8
31.19	100.0
33.42	70.9
50.86	53.9
51.16	24.1
55.61	26.6
59.56	48.3

Atomic structure:
```
Cd2In2O5
1.0
1.795 1.036 12.358
-1.795 1.036 12.358
0.000 -2.073 12.358
Cd In O
2 2 5
direct
0.000 0.000 0.000
0.160 0.160 0.160
0.413 0.413 0.413
0.580 0.580 0.580
0.080 0.080 0.080
0.220 0.220 0.220
0.354 0.354 0.354
0.472 0.472 0.472
0.940 0.940 0.940
```

=====

# 3
Structure and theoretical powder X-ray diffraction pattern of CdInP2O8 (the GGA-PBE geometry in Alexandria; Cu Kα (weighted mean of Kα1 and Kα2)).
Kinematic intensities with the Lorentz-polarization factor, no thermal factor.

Principal peaks in the range 2θ from 15° to 90°, by angle:
2θ/deg	I/Imax
19.32	100.0
23.52	26.6
33.22	73.2
33.79	56.5
43.62	35.8
48.12	39.3
52.71	15.6
60.08	24.2

Atomic structure:
```
CdInP2O8
1.0
5.305 0.000 0.000
-2.653 4.595 0.000
0.000 0.000 6.661
Cd In P O
1 1 2 8
direct
0.000 0.000 0.000
0.000 0.000 0.500
0.333 0.667 0.789
0.667 0.333 0.211
0.172 0.345 0.718
0.172 0.828 0.718
0.333 0.667 0.020
0.345 0.172 0.282
0.655 0.828 0.718
0.667 0.333 0.980
0.828 0.172 0.282
0.828 0.655 0.282
```